Entry 1:
Computed powder diffraction line list
Compound: La5NdAg
Radiation: a wavelength of 1.5418 Å
Structure: a crystal structure in Alexandria, relaxed with PBE
Intensities are scaled so that the largest is 100.

a = 12.0672 Å, b = 6.7668 Å, c = 12.5472 Å
α = 90.00°, β = 111.62°, γ = 90.00°
Space group C2/c (No. 15)
Inequivalent atoms, fractional coordinates:
1 La 0.0000 0.2177 0.2500 (multiplicity 4)
2 La 0.1621 0.4687 0.0373 (multiplicity 8)
3 La 0.2375 0.0340 0.6794 (multiplicity 8)
4 Nd 0.0000 0.2530 0.7500 (multiplicity 4)
5 Ag 0.0000 0.0000 0.0000 (multiplicity 4)

Largest 12 diffraction maxima, low angle first, 10 to 80 degrees two-theta:
index, two_theta, I_rel
3 1 0, 27.2, 54
2 0 -4, 28.8, 56
4 0 -2, 29.8, 75
0 2 2, 30.5, 70
0 0 4, 30.7, 43
2 2 0, 30.9, 89
1 1 -4, 31.6, 49
2 2 -2, 31.8, 100
3 1 -4, 33.9, 77
3 1 2, 35.5, 76
1 1 4, 37.1, 50
6 2 -2, 53.0, 52

Entry 2:
Computed powder diffraction line list
Compound: LaNd2Ag2
Radiation: a wavelength of 1.5418 Å
Structure: a crystal structure in Alexandria, relaxed with PBE
Intensities are scaled so that the largest is 100.

a = 5.3620 Å, b = 5.0258 Å, c = 11.6221 Å
α = 90.00°, β = 96.39°, γ = 90.00°
Space group P2_1/m (No. 11)
Inequivalent atoms, fractional coordinates:
1 La 0.1989 0.2500 0.2459 (multiplicity 2)
2 Nd 0.2495 0.7500 0.4900 (multiplicity 2)
3 Nd 0.3423 0.2500 0.8857 (multiplicity 2)
4 Ag 0.1348 0.7500 0.0026 (multiplicity 2)
5 Ag 0.2799 0.2500 0.6354 (multiplicity 2)

Largest 12 diffraction maxima, low angle first, 10 to 80 degrees two-theta:
index, two_theta, I_rel
1 1 1, 26.1, 25
1 1 -2, 27.9, 100
0 1 3, 29.2, 64
1 1 2, 29.9, 43
1 0 3, 30.1, 31
2 0 0, 33.6, 58
0 2 0, 35.7, 64
1 1 -4, 38.2, 49
1 0 -5, 40.8, 24
2 1 -3, 43.0, 29
1 2 3, 47.4, 19
2 2 0, 49.9, 38

Entry 3:
Computed powder diffraction line list
Compound: La2NdAg2Pb2
Radiation: a wavelength of 1.5418 Å
Structure: a crystal structure in Alexandria, relaxed with PBE
Intensities are scaled so that the largest is 100.

a = 4.9388 Å, b = 4.9388 Å, c = 27.6735 Å
α = 90.00°, β = 90.00°, γ = 120.00°
Space group R-3m (No. 166, hexagonal axes)
Inequivalent atoms, fractional coordinates:
1 La 0.0000 0.0000 0.1390 (multiplicity 6)
2 Nd 0.0000 0.0000 0.0000 (multiplicity 3)
3 Ag 0.0000 0.0000 0.4295 (multiplicity 6)
4 Pb 0.0000 0.0000 0.2696 (multiplicity 6)

Largest 12 diffraction maxima, low angle first, 10 to 80 degrees two-theta:
index, two_theta, I_rel
1 0 4, 24.5, 8
1 0 7, 30.8, 100
0 1 8, 33.3, 12
1 1 0, 36.4, 79
0 2 7, 48.4, 28
0 1 14, 50.9, 13
2 1 7, 62.0, 27
1 1 15, 62.9, 10
2 0 14, 64.2, 6
3 0 0, 65.5, 14
1 2 14, 76.1, 8
2 2 0, 77.3, 9